# 1
# Sr4Mg3
Theoretical X-ray diffraction stick pattern, Cu Kα (λ = 1.5418 Å). Input: the PBE geometry in Alexandria.

Crystal structure
Cell lengths 6.6897, 6.6897, 7.1603 Å; angles 90.00, 90.00, 120.00 degrees
Space group P6/mmm (No. 191)
Asymmetric unit:
Sr: 0.0000 0.0000 0.2412 x2
Sr: 0.3333 0.6667 0.5000 x2
Mg: 0.0000 0.5000 0.0000 x3

The 12 most intense peaks (2θ = 10–90°), in order of rising 2θ:
Position (°2θ)	I/Imax
26.7	81
29.3	100
29.5	44
33.4	26
40.0	18
46.8	17
47.1	17
48.8	58
54.9	18
58.5	17
63.5	22
76.5	18

=====

# 2
# Sr3Mg11
Theoretical X-ray diffraction stick pattern, Cu Kα (λ = 1.5418 Å). Input: the PBE geometry in Alexandria.

Crystal structure
Cell lengths 5.1256, 10.5586, 15.2322 Å; angles 90.00, 90.00, 90.00 degrees
Space group Immm (No. 71)
Asymmetric unit:
Sr: 0.0000 0.0000 0.0000 x2
Sr: 0.0000 0.0000 0.2968 x4
Mg: 0.0000 0.1849 0.5000 x4
Mg: 0.0000 0.2877 0.1289 x8
Mg: 0.0000 0.3527 0.3316 x8
Mg: 0.0000 0.5000 0.0000 x2

The 12 most intense peaks (2θ = 10–90°), in order of rising 2θ:
Position (°2θ)	I/Imax
19.2	40
19.4	24
24.7	38
28.9	33
30.0	100
30.5	41
30.9	92
33.0	25
34.2	18
35.0	46
47.4	22
57.8	21

=====

# 3
# SrMg5
Theoretical X-ray diffraction stick pattern, Cu Kα (λ = 1.5418 Å). Input: the PBE geometry in Alexandria.

Crystal structure
Cell lengths 5.8659, 5.8659, 16.7542 Å; angles 90.00, 90.00, 120.00 degrees
Space group R32 (No. 155, hexagonal axes)
Asymmetric unit:
Sr: 0.0000 0.0000 0.0000 x3
Mg: 0.0000 0.0000 0.3315 x6
Mg: 0.0000 0.3170 0.5000 x9

The 12 most intense peaks (2θ = 10–90°), in order of rising 2θ:
Position (°2θ)	I/Imax
15.9	12
18.2	22
20.4	22
27.6	12
30.5	29
32.0	32
34.5	100
44.8	22
54.2	17
58.7	21
64.3	20
65.8	14

=====

# 4
# Sr2Mg7
Theoretical X-ray diffraction stick pattern, Cu Kα (λ = 1.5418 Å). Input: the PBE geometry in Alexandria.

Crystal structure
Cell lengths 6.3452, 6.3452, 45.3060 Å; angles 90.00, 90.00, 120.00 degrees
Space group R-3m (No. 166, hexagonal axes)
Asymmetric unit:
Sr: 0.0000 0.0000 0.0529 x6
Sr: 0.0000 0.0000 0.1505 x6
Mg: 0.0000 0.0000 0.2787 x6
Mg: 0.0000 0.0000 0.3882 x6
Mg: 0.0000 0.0000 0.5000 x3
Mg: 0.0000 0.5000 0.0000 x9
Mg: 0.0019 0.5009 0.8902 x18

The 12 most intense peaks (2θ = 10–90°), in order of rising 2θ:
Position (°2θ)	I/Imax
16.2	19
25.5	49
27.1	28
28.1	54
32.7	34
33.4	100
35.7	15
48.2	18
52.3	15
53.2	26
58.2	21
82.7	14

=====

# 5
# SrMg5
Theoretical X-ray diffraction stick pattern, Cu Kα (λ = 1.5418 Å). Input: the PBE geometry in Alexandria.

Crystal structure
Cell lengths 4.7410, 13.9399, 5.0098 Å; angles 90.00, 90.00, 90.00 degrees
Space group Cmmm (No. 65)
Asymmetric unit:
Sr: 0.0000 0.0000 0.0000 x2
Mg: 0.0000 0.1727 0.5000 x4
Mg: 0.0000 0.3195 0.0000 x4
Mg: 0.0000 0.5000 0.5000 x2

The 12 most intense peaks (2θ = 10–90°), in order of rising 2θ:
Position (°2θ)	I/Imax
12.7	13
19.8	15
26.7	16
32.4	100
35.8	19
38.0	16
38.8	14
53.2	18
53.8	11
62.2	14
65.1	13
67.7	10

=====

# 6
# SrMg
Theoretical X-ray diffraction stick pattern, Cu Kα (λ = 1.5418 Å). Input: the PBE geometry in Alexandria.

Crystal structure
Cell lengths 12.5180, 12.5180, 3.8257 Å; angles 90.00, 90.00, 90.00 degrees
Space group I4/m (No. 87)
Asymmetric unit:
Sr: 0.1355 0.8317 0.0000 x8
Mg: 0.0350 0.3583 0.5000 x8

The 12 most intense peaks (2θ = 10–90°), in order of rising 2θ:
Position (°2θ)	I/Imax
14.2	12
22.5	47
24.3	40
28.5	28
30.3	45
31.7	100
32.0	17
37.8	12
43.2	35
54.7	15
57.4	14
58.9	13

=====

# 7
# SrMg3
Theoretical X-ray diffraction stick pattern, Cu Kα (λ = 1.5418 Å). Input: the PBE geometry in Alexandria.

Crystal structure
Cell lengths 11.0954, 6.3167, 10.8315 Å; angles 90.00, 109.66, 90.00 degrees
Space group C2/m (No. 12)
Asymmetric unit:
Sr: 0.0000 0.0000 0.0000 x2
Sr: 0.1431 0.0000 0.4294 x4
Mg: 0.0000 0.5000 0.5000 x2
Mg: 0.0825 0.5000 0.2453 x4
Mg: 0.1671 0.5000 0.9993 x4
Mg: 0.1675 0.2482 0.7521 x8

The 12 most intense peaks (2θ = 10–90°), in order of rising 2θ:
Position (°2θ)	I/Imax
16.4	29
26.0	100
28.0	71
28.3	55
28.5	41
32.4	23
32.8	48
33.0	58
33.2	66
33.4	57
48.3	24
57.8	26

=====

# 8
# Sr5Mg24
Theoretical X-ray diffraction stick pattern, Cu Kα (λ = 1.5418 Å). Input: the PBE geometry in Alexandria.

Crystal structure
Cell lengths 11.6783, 11.6783, 11.6783 Å; angles 90.00, 90.00, 90.00 degrees
Space group I-43m (No. 217)
Asymmetric unit:
Sr: 0.0000 0.0000 0.0000 x2
Sr: 0.1872 0.1872 0.8128 x8
Mg: 0.0303 0.3592 0.3592 x24
Mg: 0.0914 0.0914 0.2844 x24

The 12 most intense peaks (2θ = 10–90°), in order of rising 2θ:
Position (°2θ)	I/Imax
10.7	10
18.6	15
21.5	8
28.6	16
32.5	100
36.1	12
37.7	11
48.0	13
55.7	11
58.0	25
66.0	6
81.6	9

=====

# 9
# SrMg
Theoretical X-ray diffraction stick pattern, Cu Kα (λ = 1.5418 Å). Input: the PBE geometry in Alexandria.

Crystal structure
Cell lengths 11.6795, 6.7419, 6.9317 Å; angles 90.00, 124.16, 90.00 degrees
Space group C2 (No. 5)
Asymmetric unit:
Sr: 0.0000 0.0000 0.0000 x2
Sr: 0.1166 0.4999 0.8494 x4
Mg: 0.0000 0.0005 0.5000 x2
Mg: 0.2501 0.2506 0.4997 x4

The 12 most intense peaks (2θ = 10–90°), in order of rising 2θ:
Position (°2θ)	I/Imax
15.4	23
18.4	24
25.7	20
26.4	89
30.1	80
30.8	100
32.4	31
46.7	19
49.0	40
49.4	26
52.9	24
54.4	24

=====

# 10
# Sr17Mg12
Theoretical X-ray diffraction stick pattern, Cu Kα (λ = 1.5418 Å). Input: the PBE geometry in Alexandria.

Crystal structure
Cell lengths 13.2301, 13.2301, 13.2301 Å; angles 90.00, 90.00, 90.00 degrees
Space group I-43m (No. 217)
Asymmetric unit:
Sr: 0.0000 0.0000 0.0000 x2
Sr: 0.0435 0.3558 0.6442 x24
Sr: 0.1674 0.1674 0.1674 x8
Mg: 0.0900 0.0900 0.7338 x24

The 12 most intense peaks (2θ = 10–90°), in order of rising 2θ:
Position (°2θ)	I/Imax
16.4	16
27.0	7
28.6	100
31.7	8
33.2	10
34.6	7
40.9	10
50.7	29
52.7	8
56.5	5
59.3	5
60.2	5

=====

# 11
# Sr3Mg2
Theoretical X-ray diffraction stick pattern, Cu Kα (λ = 1.5418 Å). Input: the PBE geometry in Alexandria.

Crystal structure
Cell lengths 4.1976, 4.1976, 22.8394 Å; angles 90.00, 90.00, 90.00 degrees
Space group P4/mmm (No. 123)
Asymmetric unit:
Sr: 0.0000 0.0000 0.0000 x1
Sr: 0.0000 0.0000 0.1818 x2
Sr: 0.0000 0.0000 0.3639 x2
Sr: 0.5000 0.5000 0.5000 x1
Mg: 0.5000 0.5000 0.0903 x2
Mg: 0.5000 0.5000 0.2735 x2

The 12 most intense peaks (2θ = 10–90°), in order of rising 2θ:
Position (°2θ)	I/Imax
21.2	28
23.4	18
26.4	23
28.9	100
30.1	77
31.7	31
38.5	19
43.1	28
48.9	18
52.7	37
53.9	15
67.2	14

=====

# 12
# Sr3Mg
Theoretical X-ray diffraction stick pattern, Cu Kα (λ = 1.5418 Å). Input: the PBE geometry in Alexandria.

Crystal structure
Cell lengths 10.7082, 10.7082, 11.1941 Å; angles 90.00, 90.00, 120.00 degrees
Space group P6_3cm (No. 185)
Asymmetric unit:
Sr: 0.0000 0.0000 0.0924 x2
Sr: 0.0000 0.2637 0.3411 x6
Sr: 0.0000 0.3880 0.0000 x6
Sr: 0.3333 0.6667 0.2355 x4
Mg: 0.0000 0.3243 0.6705 x6

The 12 most intense peaks (2θ = 10–90°), in order of rising 2θ:
Position (°2θ)	I/Imax
18.4	20
23.0	56
24.9	65
26.6	62
28.9	100
29.2	96
30.1	32
33.4	26
45.6	31
48.0	28
51.2	28
51.9	37

=====

Repeat the fifth record exactly.
# SrMg5
Theoretical X-ray diffraction stick pattern, Cu Kα (λ = 1.5418 Å). Input: the PBE geometry in Alexandria.

Crystal structure
Cell lengths 4.7410, 13.9399, 5.0098 Å; angles 90.00, 90.00, 90.00 degrees
Space group Cmmm (No. 65)
Asymmetric unit:
Sr: 0.0000 0.0000 0.0000 x2
Mg: 0.0000 0.1727 0.5000 x4
Mg: 0.0000 0.3195 0.0000 x4
Mg: 0.0000 0.5000 0.5000 x2

The 12 most intense peaks (2θ = 10–90°), in order of rising 2θ:
Position (°2θ)	I/Imax
12.7	13
19.8	15
26.7	16
32.4	100
35.8	19
38.0	16
38.8	14
53.2	18
53.8	11
62.2	14
65.1	13
67.7	10